This entry pairs a crystal structure of CsRb2PdF6 with its theoretical PXRD pattern. Radiation: Cu Kα X-rays. Structure: a crystal structure in the Materials Project, relaxed with PBE.
Kinematic intensities with the Lorentz-polarization factor, no thermal factor.

Cell and atoms:
```
data_CsRb2PdF6
_chemical_formula_sum 'Cs1 Rb2 Pd1 F6'
_cell_length_a 6.805
_cell_length_b 6.805
_cell_length_c 6.805
_cell_angle_alpha 60.00
_cell_angle_beta 60.00
_cell_angle_gamma 60.00
_symmetry_space_group_name_H-M 'P 1'
_symmetry_Int_Tables_number 1
_symmetry_space_group_name_Hall 'P 1'
loop_
_atom_site_label
_atom_site_type_symbol
_atom_site_fract_x
_atom_site_fract_y
_atom_site_fract_z
Cs1 Cs 0.000 0.000 0.000
Rb1 Rb 0.250 0.250 0.250
Rb2 Rb 0.750 0.750 0.750
Pd1 Pd 0.500 0.500 0.500
F1 F 0.286 0.286 0.714
F2 F 0.286 0.714 0.286
F3 F 0.286 0.714 0.714
F4 F 0.714 0.286 0.286
F5 F 0.714 0.286 0.714
F6 F 0.714 0.714 0.286
```

Top 10 peaks for 2θ from 10° to 90°, most intense first:
d/Å	2theta	intensity
3.403	26.19	100
1.965	46.21	39
2.406	37.37	36
1.286	73.66	23
1.701	53.89	22
1.522	60.88	21
1.134	85.64	11
4.812	18.44	10
1.389	67.42	7
2.152	41.98	3

This entry pairs a crystal structure of Cs2RbPdF6 with its theoretical PXRD pattern. Radiation: Cu Kα X-rays. Structure: a crystal structure in the Materials Project, relaxed with PBE.
Kinematic intensities with the Lorentz-polarization factor, no thermal factor.

Cell and atoms:
```
data_Cs2RbPdF6
_chemical_formula_sum 'Cs2 Rb1 Pd1 F6'
_cell_length_a 6.710
_cell_length_b 6.710
_cell_length_c 6.710
_cell_angle_alpha 60.00
_cell_angle_beta 60.00
_cell_angle_gamma 60.00
_symmetry_space_group_name_H-M 'P 1'
_symmetry_Int_Tables_number 1
_symmetry_space_group_name_Hall 'P 1'
loop_
_atom_site_label
_atom_site_type_symbol
_atom_site_fract_x
_atom_site_fract_y
_atom_site_fract_z
Cs1 Cs 0.250 0.250 0.250
Cs2 Cs 0.750 0.750 0.750
Rb1 Rb 0.000 0.000 0.000
Pd1 Pd 0.500 0.500 0.500
F1 F 0.282 0.282 0.718
F2 F 0.282 0.718 0.282
F3 F 0.282 0.718 0.718
F4 F 0.718 0.282 0.282
F5 F 0.718 0.282 0.718
F6 F 0.718 0.718 0.282
```

Top 10 peaks for 2θ from 10° to 90°, most intense first:
d/Å	2theta	intensity
3.355	26.57	100
1.937	46.91	40
2.372	37.93	34
1.268	74.89	22
1.677	54.72	21
1.500	61.84	20
1.118	87.16	11
1.370	68.51	7
2.739	32.69	7
1.186	81.08	3

This entry pairs a crystal structure of CsRb2PdF5 with its theoretical PXRD pattern. Radiation: Cu Kα X-rays. Structure: a crystal structure in the Materials Project, relaxed with PBE.
Kinematic intensities with the Lorentz-polarization factor, no thermal factor.

Cell and atoms:
```
data_CsRb2PdF5
_chemical_formula_sum 'Cs2 Rb4 Pd2 F10'
_cell_length_a 7.741
_cell_length_b 7.741
_cell_length_c 6.542
_cell_angle_alpha 90.00
_cell_angle_beta 90.00
_cell_angle_gamma 90.00
_symmetry_space_group_name_H-M 'P 1'
_symmetry_Int_Tables_number 1
_symmetry_space_group_name_Hall 'P 1'
loop_
_atom_site_label
_atom_site_type_symbol
_atom_site_fract_x
_atom_site_fract_y
_atom_site_fract_z
Cs1 Cs 0.000 0.000 0.000
Cs2 Cs 0.500 0.500 0.000
Rb1 Rb 0.178 0.322 0.500
Rb2 Rb 0.322 0.822 0.500
Rb3 Rb 0.678 0.178 0.500
Rb4 Rb 0.822 0.678 0.500
Pd1 Pd 0.000 0.500 0.000
Pd2 Pd 0.500 0.000 0.000
F1 F 0.000 0.000 0.500
F2 F 0.129 0.629 0.216
F3 F 0.129 0.629 0.784
F4 F 0.371 0.129 0.216
F5 F 0.371 0.129 0.784
F6 F 0.500 0.500 0.500
F7 F 0.629 0.871 0.216
F8 F 0.629 0.871 0.784
F9 F 0.871 0.371 0.216
F10 F 0.871 0.371 0.784
```

Top 10 peaks for 2θ from 10° to 90°, most intense first:
d/Å	2theta	intensity
3.331	26.76	100
2.737	32.72	30
3.271	27.26	29
3.060	29.19	28
2.099	43.10	27
2.378	37.84	23
1.900	47.88	20
3.870	22.98	15
1.530	60.52	15
1.731	52.90	11

This entry pairs a crystal structure of Cs2RbPdF6 with its theoretical PXRD pattern. Radiation: Cu Kα X-rays. Structure: a crystal structure in the Materials Project, relaxed with PBE.
Kinematic intensities with the Lorentz-polarization factor, no thermal factor.

Cell and atoms:
```
data_Cs2RbPdF6
_chemical_formula_sum 'Cs2 Rb1 Pd1 F6'
_cell_length_a 6.786
_cell_length_b 6.786
_cell_length_c 6.786
_cell_angle_alpha 121.68
_cell_angle_beta 121.68
_cell_angle_gamma 87.11
_symmetry_space_group_name_H-M 'P 1'
_symmetry_Int_Tables_number 1
_symmetry_space_group_name_Hall 'P 1'
loop_
_atom_site_label
_atom_site_type_symbol
_atom_site_fract_x
_atom_site_fract_y
_atom_site_fract_z
Cs1 Cs 0.250 0.750 0.500
Cs2 Cs 0.750 0.250 0.500
Rb1 Rb 0.000 0.000 0.000
Pd1 Pd 0.500 0.500 0.000
F1 F 0.273 0.273 0.000
F2 F 0.286 0.286 0.572
F3 F 0.286 0.714 0.000
F4 F 0.714 0.286 0.000
F5 F 0.714 0.714 0.428
F6 F 0.727 0.727 0.000
```

Top 10 peaks for 2θ from 10° to 90°, most intense first:
d/Å	2theta	intensity
3.389	26.30	100
3.306	26.97	47
1.924	47.23	38
2.338	38.51	32
1.694	54.13	22
1.973	46.00	21
2.459	36.54	19
1.267	74.94	11
1.290	73.39	11
1.254	75.87	11

This entry pairs a crystal structure of Cs2PrF6 with its theoretical PXRD pattern. Radiation: Cu Kα X-rays. Structure: a crystal structure in the Materials Project, relaxed with PBE.
Kinematic intensities with the Lorentz-polarization factor, no thermal factor.

Cell and atoms:
```
data_Cs2PrF6
_chemical_formula_sum 'Cs2 Pr1 F6'
_cell_length_a 7.363
_cell_length_b 7.363
_cell_length_c 3.909
_cell_angle_alpha 90.00
_cell_angle_beta 90.00
_cell_angle_gamma 120.00
_symmetry_space_group_name_H-M 'P 1'
_symmetry_Int_Tables_number 1
_symmetry_space_group_name_Hall 'P 1'
loop_
_atom_site_label
_atom_site_type_symbol
_atom_site_fract_x
_atom_site_fract_y
_atom_site_fract_z
Cs1 Cs 0.333 0.667 0.000
Cs2 Cs 0.667 0.333 0.000
Pr1 Pr 0.000 0.000 0.500
F1 F 0.000 0.212 0.000
F2 F 0.000 0.675 0.500
F3 F 0.212 0.000 0.000
F4 F 0.325 0.325 0.500
F5 F 0.675 0.000 0.500
F6 F 0.788 0.788 0.000
```

Top 10 peaks for 2θ from 10° to 90°, most intense first:
d/Å	2theta	intensity
3.682	24.17	100
3.332	26.75	70
2.052	44.15	54
2.471	36.36	42
2.126	42.53	34
1.726	53.05	24
1.611	57.17	21
1.439	64.81	19
2.680	33.44	17
1.134	85.70	15

This entry pairs a crystal structure of Cs3PrF6 with its theoretical PXRD pattern. Radiation: Cu Kα X-rays. Structure: a crystal structure in the Materials Project, relaxed with PBE.
Kinematic intensities with the Lorentz-polarization factor, no thermal factor.

Cell and atoms:
```
data_Cs3PrF6
_chemical_formula_sum 'Cs3 Pr1 F6'
_cell_length_a 7.296
_cell_length_b 7.296
_cell_length_c 7.296
_cell_angle_alpha 60.00
_cell_angle_beta 60.00
_cell_angle_gamma 60.00
_symmetry_space_group_name_H-M 'P 1'
_symmetry_Int_Tables_number 1
_symmetry_space_group_name_Hall 'P 1'
loop_
_atom_site_label
_atom_site_type_symbol
_atom_site_fract_x
_atom_site_fract_y
_atom_site_fract_z
Cs1 Cs 0.000 0.000 0.000
Cs2 Cs 0.250 0.250 0.250
Cs3 Cs 0.750 0.750 0.750
Pr1 Pr 0.500 0.500 0.500
F1 F 0.277 0.277 0.723
F2 F 0.277 0.723 0.277
F3 F 0.277 0.723 0.723
F4 F 0.723 0.277 0.277
F5 F 0.723 0.277 0.723
F6 F 0.723 0.723 0.277
```

Top 10 peaks for 2θ from 10° to 90°, most intense first:
d/Å	2theta	intensity
3.648	24.40	100
2.106	42.94	43
2.579	34.78	33
1.379	67.99	24
1.824	50.01	22
1.631	56.40	21
1.216	78.69	11
1.154	83.87	9
1.489	62.35	7
1.100	89.00	6

This entry pairs a crystal structure of CsRb2RhF6 with its theoretical PXRD pattern. Radiation: Cu Kα X-rays. Structure: a crystal structure in the Materials Project, relaxed with PBE.
Kinematic intensities with the Lorentz-polarization factor, no thermal factor.

Cell and atoms:
```
data_CsRb2RhF6
_chemical_formula_sum 'Cs1 Rb2 Rh1 F6'
_cell_length_a 6.758
_cell_length_b 6.758
_cell_length_c 6.758
_cell_angle_alpha 60.00
_cell_angle_beta 60.00
_cell_angle_gamma 60.00
_symmetry_space_group_name_H-M 'P 1'
_symmetry_Int_Tables_number 1
_symmetry_space_group_name_Hall 'P 1'
loop_
_atom_site_label
_atom_site_type_symbol
_atom_site_fract_x
_atom_site_fract_y
_atom_site_fract_z
Cs1 Cs 0.000 0.000 0.000
Rb1 Rb 0.250 0.250 0.250
Rb2 Rb 0.750 0.750 0.750
Rh1 Rh 0.500 0.500 0.500
F1 F 0.289 0.289 0.711
F2 F 0.289 0.711 0.289
F3 F 0.289 0.711 0.711
F4 F 0.711 0.289 0.289
F5 F 0.711 0.289 0.711
F6 F 0.711 0.711 0.289
```

Top 10 peaks for 2θ from 10° to 90°, most intense first:
d/Å	2theta	intensity
3.379	26.38	100
1.951	46.55	39
2.389	37.65	35
1.277	74.26	23
1.690	54.30	21
1.511	61.35	21
1.126	86.38	11
4.779	18.57	10
1.379	67.95	7
1.195	80.38	3

This entry pairs a crystal structure of Cs2RbRuF6 with its theoretical PXRD pattern. Radiation: Cu Kα X-rays. Structure: a crystal structure in the Materials Project, relaxed with PBE.
Kinematic intensities with the Lorentz-polarization factor, no thermal factor.

Cell and atoms:
```
data_Cs2RbRuF6
_chemical_formula_sum 'Cs2 Rb1 Ru1 F6'
_cell_length_a 6.680
_cell_length_b 6.680
_cell_length_c 6.680
_cell_angle_alpha 60.00
_cell_angle_beta 60.00
_cell_angle_gamma 60.00
_symmetry_space_group_name_H-M 'P 1'
_symmetry_Int_Tables_number 1
_symmetry_space_group_name_Hall 'P 1'
loop_
_atom_site_label
_atom_site_type_symbol
_atom_site_fract_x
_atom_site_fract_y
_atom_site_fract_z
Cs1 Cs 0.250 0.250 0.250
Cs2 Cs 0.750 0.750 0.750
Rb1 Rb 0.000 0.000 0.000
Ru1 Ru 0.500 0.500 0.500
F1 F 0.285 0.285 0.715
F2 F 0.285 0.715 0.285
F3 F 0.285 0.715 0.715
F4 F 0.715 0.285 0.285
F5 F 0.715 0.285 0.715
F6 F 0.715 0.715 0.285
```

Top 10 peaks for 2θ from 10° to 90°, most intense first:
d/Å	2theta	intensity
3.340	26.69	100
1.928	47.13	39
2.362	38.10	34
1.262	75.27	22
1.670	54.98	21
1.494	62.14	20
1.113	87.64	11
2.727	32.84	7
1.364	68.85	7
1.181	81.51	3